This entry pairs a crystal structure of Li6Fe9CoO20 with its computed X-ray powder pattern. Radiation: Cu Kα. Structure: a crystal structure in Alexandria, relaxed with PBE+U.
Kinematic intensities with the Lorentz-polarization factor, no thermal factor.

```
36
Lattice="5.8737 0.0000 0.0000 0.0000 2.8768 0.0000 -1.8495 0.0000 20.6512" Properties=species:S:1:pos:R:3 pbc="T T T"
Li 0.0000 0.0000 0.0000
Li -0.8941 1.4384 10.3195
Li 0.7096 0.0000 16.7177
Li 1.6640 1.4384 6.3866
Li 4.2081 1.4384 2.4627
Li 3.3227 0.0000 12.7799
Fe 0.0793 0.0000 4.3281
Fe 1.4576 1.4384 2.2952
Fe 0.5441 0.0000 12.6306
Fe 2.7557 0.0000 0.1592
Fe 1.8552 1.4384 10.5004
Fe 2.2883 1.4384 18.7731
Fe 3.2318 0.0000 8.4606
Fe 3.6624 0.0000 16.7166
Fe 4.5947 1.4384 6.3928
Co -0.8421 1.4384 14.6632
O 0.0799 0.0000 2.4292
O -0.8094 1.4384 12.7701
O -0.8951 1.4384 16.5378
O 0.0564 0.0000 6.2198
O 1.4448 1.4384 0.3532
O 0.5439 0.0000 10.6859
O 0.3917 0.0000 14.5899
O 1.3455 1.4384 4.2628
O 1.0224 0.0000 18.8380
O 1.9677 1.4384 8.5294
O 2.7729 0.0000 2.1026
O 1.8638 1.4384 12.4463
O 2.3211 1.4384 16.8788
O 3.2586 0.0000 6.5673
O 4.1262 1.4384 0.0267
O 3.2280 0.0000 10.3688
O 4.6796 1.4384 4.4347
O 3.7913 0.0000 14.7640
O 3.5609 0.0000 18.6784
O 4.5044 1.4384 8.3556
```

Peak list (10 most intense, 10° ≤ 2θ ≤ 90°, by intensity)
(1 0 2), 2θ 18.08, I 1000
(2 1 -1), 2θ 44.10, I 361
(1 1 -3), 2θ 36.68, I 262
(0 0 10), 2θ 43.84, I 179
(1 0 -8), 2θ 36.78, I 100
(3 1 1), 2θ 57.60, I 94
(2 1 9), 2θ 62.61, I 94
(2 1 -11), 2θ 65.24, I 93
(0 1 5), 2θ 38.12, I 62
(1 1 7), 2θ 47.72, I 60